For KCuCO3F, a structure optimized by DFT (GGA-PBE) gives the theoretical PXRD pattern in this record (Cu Kα (weighted mean of Kα1 and Kα2)).

Cell and atoms:
```
data_KCuCO3F
_space_group_name_H-M_alt 'P m c 21'
_space_group_IT_number 26
_cell_length_a 4.0659
_cell_length_b 5.1479
_cell_length_c 9.0426
_cell_angle_alpha 90.00
_cell_angle_beta 90.00
_cell_angle_gamma 90.00
loop_
_space_group_symop_operation_xyz
'x,y,z'
'-x,-y,z+1/2'
'-x,y,z'
'x,-y,z+1/2'
loop_
_atom_site_label
_atom_site_type_symbol
_atom_site_fract_x
_atom_site_fract_y
_atom_site_fract_z
_atom_site_occupancy
K1 K 0.0000 0.2104 0.0000 1
Cu1 Cu 0.5000 0.2914 0.6550 1
C1 C 0.5000 0.2844 0.3363 1
O1 O 0.5000 0.1484 0.4580 1
O2 O 0.5000 0.1697 0.2116 1
O3 O 0.5000 0.4614 0.8462 1
F1 F 0.0000 0.3041 0.6515 1
```

Top 10 peaks for 15° ≤ 2θ ≤ 90°, sorted by position:
2θ/deg  Rel. int.
19.63  32
19.85  52
21.86  44
29.55  42
29.69  100
34.48  64
34.86  35
44.57  41
46.34  27
57.52  32



For Li3CuAsCO7, a structure optimized by DFT (GGA-PBE) gives the theoretical PXRD pattern in this record (Cu Kα (weighted mean of Kα1 and Kα2)).

Cell and atoms:
```
data_Li3CuAsCO7
_space_group_name_H-M_alt 'P 1 21/m 1'
_space_group_IT_number 11
_cell_length_a 5.1579
_cell_length_b 6.4407
_cell_length_c 8.5842
_cell_angle_alpha 90.00
_cell_angle_beta 94.70
_cell_angle_gamma 90.00
loop_
_space_group_symop_operation_xyz
'x,y,z'
'-x,-y,-z'
'-x,y+1/2,-z'
'x,-y+1/2,z'
loop_
_atom_site_label
_atom_site_type_symbol
_atom_site_fract_x
_atom_site_fract_y
_atom_site_fract_z
_atom_site_occupancy
Li1 Li 0.2213 0.0135 0.2298 1
Li2 Li 0.2369 0.7500 0.5783 1
Cu1 Cu 0.2233 0.2500 0.8263 1
As1 As 0.3070 0.7500 0.9201 1
C1 C 0.3091 0.2500 0.5230 1
O1 O 0.0881 0.2500 0.5880 1
O2 O 0.1955 0.5495 0.7977 1
O3 O 0.1988 0.7500 0.1017 1
O4 O 0.3056 0.2500 0.3715 1
O5 O 0.3545 0.2500 0.0553 1
O6 O 0.4729 0.7500 0.3938 1
```

Top 10 peaks for 15° ≤ 2θ ≤ 90°, sorted by position:
2θ/deg  Rel. int.
19.40  62
20.88  33
25.08  46
25.98  61
27.70  100
31.51  29
34.90  57
39.94  23
44.64  28
57.19  26



For GdH9C5N2O8, a structure optimized by DFT (GGA-PBE) gives the theoretical PXRD pattern in this record (Cu Kα (weighted mean of Kα1 and Kα2)).

Cell and atoms:
```
data_GdH9C5N2O8
_space_group_name_H-M_alt 'C 1 2 1'
_space_group_IT_number 5
_cell_length_a 11.4392
_cell_length_b 7.3832
_cell_length_c 6.7199
_cell_angle_alpha 90.00
_cell_angle_beta 107.66
_cell_angle_gamma 90.00
loop_
_space_group_symop_operation_xyz
'x,y,z'
'-x,y,-z'
'x+1/2,y+1/2,z'
'-x+1/2,y+1/2,-z'
loop_
_atom_site_label
_atom_site_type_symbol
_atom_site_fract_x
_atom_site_fract_y
_atom_site_fract_z
_atom_site_occupancy
Gd1 Gd 0.0000 0.0000 0.0000 1
H1 H 0.0000 0.9202 0.5000 1
H2 H 0.0172 0.5465 0.1831 1
H3 H 0.1300 0.3961 0.4667 1
H4 H 0.1891 0.3493 0.8801 1
H5 H 0.2199 0.5853 0.5827 1
C1 C 0.0000 0.0694 0.5000 1
C2 C 0.0902 0.6242 0.2959 1
C3 C 0.2373 0.2924 0.0364 1
N1 N 0.1531 0.5287 0.4603 1
O1 O 0.0051 0.1495 0.3350 1
O2 O 0.1087 0.7875 0.2642 1
O3 O 0.1523 0.8353 0.8779 1
O4 O 0.1754 0.1873 0.1170 1
```

Top 10 peaks for 15° ≤ 2θ ≤ 90°, sorted by position:
2θ/deg  Rel. int.
16.26  64
17.89  47
18.28  100
21.74  89
27.36  60
29.21  95
30.18  38
33.47  35
34.60  46
44.31  43



For PrIn2Ni, a structure optimized by DFT (GGA-PBE) gives the theoretical PXRD pattern in this record (Cu Kα (weighted mean of Kα1 and Kα2)).

Cell and atoms:
```
data_PrIn2Ni
_space_group_name_H-M_alt 'C m c m'
_space_group_IT_number 63
_space_group_name_Hall '-C 2c 2'
_cell_length_a 4.4213
_cell_length_b 18.5690
_cell_length_c 22.0089
_cell_angle_alpha 90.00
_cell_angle_beta 90.00
_cell_angle_gamma 90.00
loop_
_atom_site_label
_atom_site_type_symbol
_atom_site_fract_x
_atom_site_fract_y
_atom_site_fract_z
_atom_site_occupancy
Pr1 Pr 0.0000 0.0304 0.2500 1
Pr2 Pr 0.0000 0.0625 0.0802 1
Pr3 Pr 0.0000 0.2720 0.1290 1
In1 In 0.0000 0.0989 0.6434 1
In2 In 0.0000 0.2249 0.7500 1
In3 In 0.0000 0.2997 0.5332 1
In4 In 0.0000 0.3635 0.6752 1
In5 In 0.0000 0.3918 0.2500 1
In6 In 0.0000 0.4327 0.0432 1
Ni1 Ni 0.0000 0.1554 0.5322 1
Ni2 Ni 0.0000 0.1826 0.2500 1
Ni3 Ni 0.0000 0.4852 0.1578 1
```

Top 10 peaks for 15° ≤ 2θ ≤ 90°, sorted by position:
2θ/deg  Rel. int.
31.73  19
32.12  100
32.52  12
33.81  20
34.45  12
35.39  29
35.54  24
38.04  15
40.82  38
65.37  15



For HfMn, a structure optimized by DFT (GGA-PBE) gives the theoretical PXRD pattern in this record (Cu Kα (weighted mean of Kα1 and Kα2)).

Cell and atoms:
abc: 11.6275 11.6275 11.6275
angles: 90.00 90.00 90.00
Space group Fd-3m (No. 227, origin choice 2)
Unique sites:
Hf 0.0727 0.3750 0.3750 (multiplicity 48)
Mn 0.0000 0.0000 0.5000 (multiplicity 16)
Mn 0.0478 0.0478 0.7022 (multiplicity 32)

Top 10 peaks for 15° ≤ 2θ ≤ 90°, sorted by position:
2θ/deg  Rel. int.
30.76  36
33.60  33
37.91  57
40.30  100
44.06  34
56.52  17
65.74  18
68.47  49
82.55  16
86.60  13



For Nb5SiB2, a structure optimized by DFT (GGA-PBE) gives the theoretical PXRD pattern in this record (Cu Kα (weighted mean of Kα1 and Kα2)).

Cell and atoms:
```
data_Nb5SiB2
_space_group_name_H-M_alt 'I 4/m c m'
_space_group_IT_number 140
_space_group_name_Hall '-I 4 2c'
_cell_length_a 6.2816
_cell_length_b 6.2816
_cell_length_c 11.6941
_cell_angle_alpha 90.00
_cell_angle_beta 90.00
_cell_angle_gamma 90.00
loop_
_atom_site_label
_atom_site_type_symbol
_atom_site_fract_x
_atom_site_fract_y
_atom_site_fract_z
_atom_site_occupancy
Nb1 Nb 0.0000 0.0000 0.0000 1
Nb2 Nb 0.1693 0.3307 0.1377 1
Si1 Si 0.0000 0.0000 0.2500 1
B1 B 0.1133 0.3867 0.5000 1
```

Top 10 peaks for 15° ≤ 2θ ≤ 90°, sorted by position:
2θ/deg  Rel. int.
30.58  20
32.79  80
36.80  39
39.54  100
40.62  19
42.23  66
45.67  51
64.95  28
65.82  22
71.42  30



For KMg3AlSi3O11F, a structure optimized by DFT (GGA-PBE) gives the theoretical PXRD pattern in this record (Cu Kα (weighted mean of Kα1 and Kα2)).

Cell and atoms:
```
data_KMg3AlSi3O11F
_space_group_name_H-M_alt 'C 1 c 1'
_space_group_IT_number 9
_cell_length_a 9.3803
_cell_length_b 5.3766
_cell_length_c 21.0332
_cell_angle_alpha 90.00
_cell_angle_beta 98.36
_cell_angle_gamma 90.00
loop_
_space_group_symop_operation_xyz
'x,y,z'
'x,-y,z+1/2'
'x+1/2,y+1/2,z'
'x+1/2,-y+1/2,z+1/2'
loop_
_atom_site_label
_atom_site_type_symbol
_atom_site_fract_x
_atom_site_fract_y
_atom_site_fract_z
_atom_site_occupancy
K1 K 0.0000 0.0845 0.0000 1
Mg1 Mg 0.0801 0.2559 0.7310 1
Mg2 Mg 0.2422 0.2497 0.2307 1
Mg3 Mg 0.4080 0.2484 0.7300 1
Al1 Al 0.3665 0.0901 0.0978 1
Si1 Si 0.1219 0.4142 0.3640 1
Si2 Si 0.1973 0.4128 0.5952 1
Si3 Si 0.2880 0.0865 0.8640 1
O1 O 0.0274 0.4083 0.5661 1
O2 O 0.0975 0.4123 0.2858 1
O3 O 0.2134 0.3354 0.8928 1
O4 O 0.2151 0.1647 0.3924 1
O5 O 0.2222 0.4132 0.6756 1
O6 O 0.2607 0.0909 0.7858 1
O7 O 0.2668 0.3440 0.0662 1
O8 O 0.2721 0.1720 0.5676 1
O9 O 0.3949 0.0873 0.1832 1
O10 O 0.4243 0.4100 0.2750 1
O11 O 0.4637 0.0873 0.8910 1
F1 F 0.0652 0.0881 0.1843 1
```

Top 10 peaks for 15° ≤ 2θ ≤ 90°, sorted by position:
2θ/deg  Rel. int.
19.10  50
23.78  74
24.73  70
25.69  100
26.62  89
27.55  51
33.40  61
33.61  51
35.65  56
59.45  57